Theoretical powder X-ray diffraction pattern
Compound: Zn5CuAu
Radiation: Cu Ka
Structure: a crystal structure in Alexandria, relaxed with PBE
Peak positions follow from Bragg's law for the DFT cell and can differ from measured ones.

Main lines, in order of rising 2θ (2θ from 5° to 70°):
2θ 17.0, intensity 19.6, hkl 0 1 1
2θ 21.8, intensity 18.3, hkl 0 2 0
2θ 27.9, intensity 16.4, hkl 1 2 1
2θ 28.4, intensity 13.5, hkl 2 1 1
2θ 31.5, intensity 18.2, hkl 2 2 0
2θ 41.5, intensity 100.0, hkl 2 2 2
2θ 41.6, intensity 21.3, hkl 1 0 3
2θ 43.0, intensity 23.4, hkl 3 2 1
2θ 44.4, intensity 28.0, hkl 0 4 0
2θ 46.0, intensity 19.2, hkl 4 0 0

Structural model:
Lattice parameters (Å, degrees): 7.893 8.161 6.782 90.00 90.00 90.00
Space group Imma (No. 74)
One atom of each set of equivalent atoms:
1 Zn 0.000 0.250 0.196 (multiplicity 4)
2 Zn 0.205 0.250 0.492 (multiplicity 8)
3 Zn 0.250 0.004 0.750 (multiplicity 8)
4 Cu 0.000 0.000 0.500 (multiplicity 4)
5 Au 0.000 0.250 0.810 (multiplicity 4)